No. 1
Simulated X-ray diffraction stick pattern of Dy3Ho5Sb8 for copper Kα, from a structure optimized by DFT (GGA-PBE).

Atomic structure:
Cell lengths 8.7472, 8.7472, 8.7472 Å; angles 60.00, 60.00, 60.00 degrees
Fractional positions:
Dy (0.0000, 0.5000, 0.5000)
Dy (0.5000, 0.0000, 0.5000)
Dy (0.5000, 0.5000, 0.0000)
Ho (0.0000, 0.0000, 0.0000)
Ho (0.0000, 0.0000, 0.5000)
Ho (0.0000, 0.5000, 0.0000)
Ho (0.5000, 0.0000, 0.0000)
Ho (0.5000, 0.5000, 0.5000)
Sb (0.2492, 0.7500, 0.7500)
Sb (0.2496, 0.2496, 0.2496)
Sb (0.2500, 0.2500, 0.7508)
Sb (0.2500, 0.7508, 0.2500)
Sb (0.7500, 0.2492, 0.7500)
Sb (0.7500, 0.7500, 0.2492)
Sb (0.7504, 0.7504, 0.7504)
Sb (0.7508, 0.2500, 0.2500)

The 10 most intense peaks (10° ≤ 2θ ≤ 90°), low angle first:
2theta  I/Imax
24.9  4
28.9  100
41.3  76
48.8  2
51.2  27
59.8  13
65.8  1
67.8  35
75.3  26
89.7  9

---

No. 2
Simulated X-ray diffraction stick pattern of Cr3H4 for copper Kα, from a structure optimized by DFT (GGA-PBE).

Atomic structure:
Cell lengths 4.8269, 4.8269, 4.8269 Å; angles 109.47, 109.47, 109.47 degrees
Fractional positions:
Cr (0.1250, 0.8750, 0.2500)
Cr (0.2500, 0.1250, 0.8750)
Cr (0.3750, 0.6250, 0.7500)
Cr (0.6250, 0.7500, 0.3750)
Cr (0.7500, 0.3750, 0.6250)
Cr (0.8750, 0.2500, 0.1250)
H (0.0000, 0.1455, 0.5000)
H (0.0000, 0.6455, 0.5000)
H (0.1455, 0.5000, 0.0000)
H (0.3545, 0.3545, 0.3545)
H (0.5000, 0.0000, 0.1455)
H (0.5000, 0.0000, 0.6455)
H (0.6455, 0.5000, 0.0000)
H (0.8545, 0.8545, 0.8545)

The 9 most intense peaks (10° ≤ 2θ ≤ 90°), low angle first:
2theta  I/Imax
39.6  100
46.1  10
51.9  31
62.3  16
67.2  1
76.4  16
80.9  10
85.3  3
89.7  16

---

No. 3
Simulated X-ray diffraction stick pattern of AcTc2N4 for copper Kα, from a structure optimized by DFT (GGA-PBE).

Atomic structure:
Cell lengths 5.3811, 5.3811, 9.1262 Å; angles 90.00, 90.00, 121.63 degrees
Fractional positions:
Ac (0.0000, 0.0000, 0.2500)
Ac (0.0000, 0.0000, 0.7500)
Tc (0.2662, 0.7319, 0.0000)
Tc (0.2681, 0.7338, 0.5000)
Tc (0.7319, 0.2662, 0.5000)
Tc (0.7338, 0.2681, 0.0000)
N (0.0000, 0.5000, 0.3457)
N (0.0000, 0.5000, 0.6543)
N (0.1180, 0.3159, 0.0000)
N (0.3159, 0.1180, 0.5000)
N (0.5000, 0.0000, 0.1543)
N (0.5000, 0.0000, 0.8457)
N (0.6841, 0.8820, 0.5000)
N (0.8820, 0.6841, 0.0000)

The 10 most intense peaks (10° ≤ 2θ ≤ 90°), low angle first:
2theta  I/Imax
19.4  58
27.2  100
27.6  68
33.3  30
34.2  24
38.3  21
39.5  22
44.2  64
53.2  21
55.7  19

---

No. 4
Simulated X-ray diffraction stick pattern of Nd2In3Ag2 for copper Kα, from a structure optimized by DFT (GGA-PBE).

Atomic structure:
Cell lengths 10.4442, 10.4442, 7.7786 Å; angles 90.00, 90.00, 154.68 degrees
Fractional positions:
Nd (0.0514, 0.9486, 0.7500)
Nd (0.1592, 0.8408, 0.2500)
Nd (0.8408, 0.1592, 0.7500)
Nd (0.9486, 0.0514, 0.2500)
In (0.2225, 0.7775, 0.7500)
In (0.4364, 0.5636, 0.5667)
In (0.4364, 0.5636, 0.9333)
In (0.5636, 0.4364, 0.0667)
In (0.5636, 0.4364, 0.4333)
In (0.7775, 0.2225, 0.2500)
Ag (0.3077, 0.6923, 0.0540)
Ag (0.3077, 0.6923, 0.4460)
Ag (0.6923, 0.3077, 0.5540)
Ag (0.6923, 0.3077, 0.9460)

The 10 most intense peaks (10° ≤ 2θ ≤ 90°), low angle first:
2theta  I/Imax
28.7  22
30.5  100
31.6  100
33.0  20
35.2  29
39.0  45
39.4  48
42.2  19
43.6  22
56.6  29

---

No. 5
Simulated X-ray diffraction stick pattern of Th2Fe2Si2N for copper Kα, from a structure optimized by DFT (GGA-PBE).

Atomic structure:
Cell lengths 5.8244, 5.8244, 7.0290 Å; angles 127.11, 127.11, 39.38 degrees
Fractional positions:
Th (0.0575, 0.0575, 0.2937)
Th (0.9425, 0.9425, 0.7063)
Fe (0.3069, 0.3069, 0.9254)
Fe (0.6931, 0.6931, 0.0746)
Si (0.3286, 0.3286, 0.2795)
Si (0.6714, 0.6714, 0.7205)
N (0.5000, 0.5000, 0.0000)

The 10 most intense peaks (10° ≤ 2θ ≤ 90°), low angle first:
2theta  I/Imax
25.0  64
25.3  38
33.2  35
33.7  73
34.4  49
35.9  100
39.5  23
46.3  23
50.9  22
64.0  28

---

No. 6
Simulated X-ray diffraction stick pattern of Li4SmAu4 for copper Kα, from a structure optimized by DFT (GGA-PBE).

Atomic structure:
Cell lengths 6.2949, 6.2949, 6.2949 Å; angles 97.58, 97.58, 137.40 degrees
Fractional positions:
Li (0.0693, 0.6320, 0.7013)
Li (0.3680, 0.0693, 0.4373)
Li (0.6320, 0.9307, 0.5627)
Li (0.9307, 0.3680, 0.2987)
Sm (0.0000, 0.0000, 0.0000)
Au (0.2747, 0.3674, 0.6422)
Au (0.3674, 0.7253, 0.0927)
Au (0.6326, 0.2747, 0.9073)
Au (0.7253, 0.6326, 0.3578)

The 10 most intense peaks (10° ≤ 2θ ≤ 90°), low angle first:
2theta  I/Imax
15.1  27
21.4  16
31.0  100
34.2  40
38.0  51
39.4  25
44.1  35
49.1  16
53.1  23
72.3  17

---

No. 7
Simulated X-ray diffraction stick pattern of La2Zn4Co for copper Kα, from a structure optimized by DFT (GGA-PBE).

Atomic structure:
Cell lengths 8.3346, 8.3346, 8.3346 Å; angles 147.91, 147.91, 46.01 degrees
Fractional positions:
La (0.1435, 0.1435, 0.0000)
La (0.8565, 0.8565, 0.0000)
Zn (0.0000, 0.5000, 0.5000)
Zn (0.3474, 0.3474, 0.0000)
Zn (0.5000, 0.0000, 0.5000)
Zn (0.6526, 0.6526, 0.0000)
Co (0.5000, 0.5000, 0.0000)

The 10 most intense peaks (10° ≤ 2θ ≤ 90°), low angle first:
2theta  I/Imax
26.0  37
27.4  62
29.8  33
35.1  46
36.2  100
39.1  82
53.5  48
56.5  27
68.3  21
69.0  29

---

No. 8
Simulated X-ray diffraction stick pattern of CsMg6Cd8 for copper Kα, from a structure optimized by DFT (GGA-PBE).

Atomic structure:
Cell lengths 7.6518, 7.6518, 7.6518 Å; angles 70.57, 70.57, 70.57 degrees
Fractional positions:
Cs (0.0000, 0.0000, 0.0000)
Mg (0.1677, 0.3590, 0.5804)
Mg (0.3590, 0.5804, 0.1677)
Mg (0.4196, 0.8323, 0.6410)
Mg (0.5804, 0.1677, 0.3590)
Mg (0.6410, 0.4196, 0.8323)
Mg (0.8323, 0.6410, 0.4196)
Cd (0.1362, 0.8013, 0.4712)
Cd (0.1987, 0.5288, 0.8638)
Cd (0.2278, 0.2278, 0.2278)
Cd (0.4712, 0.1362, 0.8013)
Cd (0.5288, 0.8638, 0.1987)
Cd (0.7722, 0.7722, 0.7722)
Cd (0.8013, 0.4712, 0.1362)
Cd (0.8638, 0.1987, 0.5288)

The 10 most intense peaks (10° ≤ 2θ ≤ 90°), low angle first:
2theta  I/Imax
15.5  45
23.8  24
25.5  76
31.4  32
35.2  100
37.5  84
38.7  45
43.9  27
52.4  37
64.7  35

---

No. 9
Simulated X-ray diffraction stick pattern of GeF for copper Kα, from a structure optimized by DFT (GGA-PBE).

Atomic structure:
Cell lengths 4.6582, 4.6582, 7.0730 Å; angles 90.00, 90.00, 123.19 degrees
Fractional positions:
Ge (0.0686, 0.9314, 0.8382)
Ge (0.4314, 0.5686, 0.3382)
Ge (0.5686, 0.4314, 0.6618)
Ge (0.9314, 0.0686, 0.1618)
F (0.2094, 0.7906, 0.3892)
F (0.2906, 0.7094, 0.8892)
F (0.7094, 0.2906, 0.1108)
F (0.7906, 0.2094, 0.6108)

The 10 most intense peaks (10° ≤ 2θ ≤ 90°), low angle first:
2theta  I/Imax
21.7  31
25.1  100
26.1  84
34.2  89
40.7  55
44.9  81
46.1  46
46.8  45
48.4  34
63.2  34

---

No. 10
Simulated X-ray diffraction stick pattern of Nd4TmZn for copper Kα, from a structure optimized by DFT (GGA-PBE).

Atomic structure:
Cell lengths 3.6618, 3.6618, 13.9017 Å; angles 90.00, 90.00, 90.00 degrees
Fractional positions:
Nd (0.0000, 0.0000, 0.1327)
Nd (0.0000, 0.0000, 0.8673)
Nd (0.5000, 0.5000, 0.3218)
Nd (0.5000, 0.5000, 0.6782)
Tm (0.0000, 0.0000, 0.5000)
Zn (0.5000, 0.5000, 0.0000)

The 10 most intense peaks (10° ≤ 2θ ≤ 90°), low angle first:
2theta  I/Imax
27.5  15
31.1  100
32.2  9
34.6  44
48.0  12
49.8  16
53.0  13
58.8  11
59.9  31
80.6  9

---

No. 11
Simulated X-ray diffraction stick pattern of Sr2Zn3Au4 for copper Kα, from a structure optimized by DFT (GGA-PBE).

Atomic structure:
Cell lengths 8.6060, 8.6060, 8.0316 Å; angles 90.00, 90.00, 138.90 degrees
Fractional positions:
Sr (0.1141, 0.8859, 0.9131)
Sr (0.3859, 0.6141, 0.4131)
Sr (0.6141, 0.3859, 0.5869)
Sr (0.8859, 0.1141, 0.0869)
Zn (0.0000, 0.0000, 0.5000)
Zn (0.0295, 0.4705, 0.7500)
Zn (0.4705, 0.0295, 0.2500)
Zn (0.5000, 0.5000, 0.0000)
Zn (0.5295, 0.9705, 0.7500)
Zn (0.9705, 0.5295, 0.2500)
Au (0.1892, 0.8108, 0.5289)
Au (0.1985, 0.3015, 0.7500)
Au (0.3015, 0.1985, 0.2500)
Au (0.3108, 0.6892, 0.0289)
Au (0.6892, 0.3108, 0.9711)
Au (0.6985, 0.8015, 0.7500)
Au (0.8015, 0.6985, 0.2500)
Au (0.8108, 0.1892, 0.4711)

The 10 most intense peaks (10° ≤ 2θ ≤ 90°), low angle first:
2theta  I/Imax
24.8  69
33.4  68
33.6  38
35.3  58
37.2  100
45.2  24
46.6  30
50.9  21
55.0  18
65.7  18

---

No. 12
Simulated X-ray diffraction stick pattern of Ce2ReC3 for copper Kα, from a structure optimized by DFT (GGA-PBE).

Atomic structure:
Cell lengths 5.9069, 5.3227, 5.9171 Å; angles 90.00, 108.01, 90.00 degrees
Fractional positions:
Ce (0.0089, 0.2500, 0.3255)
Ce (0.3259, 0.2500, 0.0086)
Ce (0.6741, 0.7500, 0.9914)
Ce (0.9911, 0.7500, 0.6745)
Re (0.4118, 0.7500, 0.4118)
Re (0.5882, 0.2500, 0.5882)
C (0.1419, 0.7500, 0.1388)
C (0.3391, 0.0001, 0.6600)
C (0.3391, 0.4999, 0.6600)
C (0.6609, 0.9999, 0.3400)
C (0.6609, 0.5001, 0.3400)
C (0.8581, 0.2500, 0.8612)

The 10 most intense peaks (10° ≤ 2θ ≤ 90°), low angle first:
2theta  I/Imax
15.8  22
30.7  94
30.9  42
33.7  49
35.3  100
43.7  17
46.3  37
58.4  16
61.3  20
66.9  20